Structure and theoretical powder XRD pattern of NaPu4Cl10 (the PBE geometry in Alexandria; Cu Kα X-rays).

Crystal structure
Unit cell a=8.3879 b=8.3879 c=8.3879 alpha=99.59 beta=99.59 gamma=131.81
Sites, in units of the cell vectors:
Na 0.0000 0.0000 0.0000
Pu 0.2035 0.3978 0.6013
Pu 0.3978 0.7965 0.1944
Pu 0.6022 0.2035 0.8056
Pu 0.7965 0.6022 0.3987
Cl 0.0492 0.3522 0.8967
Cl 0.1525 0.0492 0.6969
Cl 0.2500 0.7500 0.5000
Cl 0.3522 0.4555 0.3031
Cl 0.4555 0.1525 0.1033
Cl 0.5445 0.8475 0.8967
Cl 0.6478 0.5445 0.6969
Cl 0.7500 0.2500 0.5000
Cl 0.8475 0.9508 0.3031
Cl 0.9508 0.6478 0.1033

The 10 most intense peaks (2θ = 5–70°), low angle first:
- 11.6°, I 8.7
- 15.3°, I 11.7
- 22.5°, I 100.0
- 26.0°, I 20.3
- 37.1°, I 77.7
- 43.8°, I 52.8
- 53.5°, I 13.3
- 58.8°, I 22.9
- 60.5°, I 10.2
- 66.9°, I 26.3

---

Structure and theoretical powder XRD pattern of NaPu2Cl6 (the PBE geometry in Alexandria; Cu Kα X-rays).

Crystal structure
Unit cell a=7.8236 b=7.8236 c=7.8236 alpha=54.55 beta=54.55 gamma=54.55
Sites, in units of the cell vectors:
Na 0.0000 0.0000 0.0000
Pu 0.3098 0.3098 0.3098
Pu 0.5014 0.5014 0.5014
Cl 0.1352 0.7081 0.3729
Cl 0.2382 0.5907 0.9022
Cl 0.3729 0.1352 0.7081
Cl 0.5907 0.9022 0.2382
Cl 0.7081 0.3729 0.1352
Cl 0.9022 0.2382 0.5907

The 10 most intense peaks (2θ = 5–70°), low angle first:
- 14.9°, I 100.0
- 16.8°, I 22.4
- 22.9°, I 30.2
- 24.8°, I 31.7
- 26.6°, I 32.3
- 36.7°, I 17.1
- 36.9°, I 45.4
- 38.6°, I 17.9
- 43.7°, I 21.4
- 44.8°, I 19.0

---

Structure and theoretical powder XRD pattern of Na3PuCl8 (the PBE geometry in Alexandria; Cu Kα X-rays).

Crystal structure
Unit cell a=7.0730 b=7.0730 c=8.4253 alpha=90.00 beta=90.00 gamma=116.73
Sites, in units of the cell vectors:
Na 0.0000 0.0000 0.0000
Na 0.0000 0.5000 0.7711
Na 0.5000 0.0000 0.2289
Pu 0.0000 0.0000 0.5000
Cl 0.2123 0.7877 0.5000
Cl 0.2245 0.7755 0.0000
Cl 0.2344 0.2483 0.7166
Cl 0.2483 0.2344 0.2834
Cl 0.7517 0.7656 0.2834
Cl 0.7656 0.7517 0.7166
Cl 0.7755 0.2245 0.0000
Cl 0.7877 0.2123 0.5000

The 10 most intense peaks (2θ = 5–70°), low angle first:
- 10.5°, I 56.4
- 14.0°, I 100.0
- 14.7°, I 24.1
- 17.5°, I 67.2
- 18.1°, I 40.0
- 25.4°, I 44.9
- 29.7°, I 29.9
- 32.2°, I 53.6
- 43.1°, I 27.2
- 44.3°, I 40.5

---

Structure and theoretical powder XRD pattern of NaPu2Cl7 (the PBE geometry in Alexandria; Cu Kα X-rays).

Crystal structure
Unit cell a=13.5881 b=13.5881 c=13.5881 alpha=20.64 beta=20.64 gamma=20.64
Sites, in units of the cell vectors:
Na 0.0000 0.0000 0.0000
Pu 0.4311 0.4311 0.4311
Pu 0.5689 0.5689 0.5689
Cl 0.0791 0.0791 0.0791
Cl 0.2175 0.2175 0.2175
Cl 0.3632 0.3632 0.3632
Cl 0.5000 0.5000 0.5000
Cl 0.6368 0.6368 0.6368
Cl 0.7825 0.7825 0.7825
Cl 0.9209 0.9209 0.9209

The 10 most intense peaks (2θ = 5–70°), low angle first:
- 13.3°, I 94.8
- 20.0°, I 32.6
- 21.2°, I 100.0
- 21.5°, I 62.9
- 23.9°, I 37.1
- 27.7°, I 44.8
- 36.9°, I 83.4
- 38.1°, I 68.1
- 39.4°, I 41.6
- 50.9°, I 32.4

---

Structure and theoretical powder XRD pattern of Rb2NaCl (the PBE geometry in Alexandria; Cu Kα X-rays).

Crystal structure
Unit cell a=11.4118 b=11.4118 c=11.4118 alpha=23.34 beta=23.34 gamma=23.34
Sites, in units of the cell vectors:
Rb 0.2272 0.2272 0.2272
Rb 0.7728 0.7728 0.7728
Na 0.0000 0.0000 0.0000
Cl 0.5000 0.5000 0.5000

The 10 most intense peaks (2θ = 5–70°), low angle first:
- 8.0°, I 73.0
- 22.9°, I 30.0
- 24.1°, I 19.4
- 24.7°, I 100.0
- 26.0°, I 20.8
- 29.2°, I 37.7
- 31.0°, I 22.5
- 37.3°, I 26.2
- 39.0°, I 36.7
- 46.4°, I 20.1

---

Structure and theoretical powder XRD pattern of RbNa5Cl6 (the PBE geometry in Alexandria; Cu Kα X-rays).

Crystal structure
Unit cell a=7.5117 b=7.5117 c=13.7534 alpha=90.00 beta=90.00 gamma=120.00
Sites, in units of the cell vectors:
Rb 0.0000 0.0000 0.2500
Rb 0.0000 0.0000 0.7500
Na 0.0000 0.4048 0.2500
Na 0.0000 0.5952 0.7500
Na 0.3333 0.6667 0.0000
Na 0.3333 0.6667 0.5000
Na 0.4048 0.0000 0.2500
Na 0.4048 0.4048 0.7500
Na 0.5952 0.0000 0.7500
Na 0.5952 0.5952 0.2500
Na 0.6667 0.3333 0.0000
Na 0.6667 0.3333 0.5000
Cl 0.0000 0.3486 0.6178
Cl 0.0000 0.3486 0.8822
Cl 0.0000 0.6514 0.1178
Cl 0.0000 0.6514 0.3822
Cl 0.3486 0.0000 0.6178
Cl 0.3486 0.0000 0.8822
Cl 0.3486 0.3486 0.1178
Cl 0.3486 0.3486 0.3822
Cl 0.6514 0.0000 0.1178
Cl 0.6514 0.0000 0.3822
Cl 0.6514 0.6514 0.6178
Cl 0.6514 0.6514 0.8822

The 10 most intense peaks (2θ = 5–70°), low angle first:
- 12.9°, I 27.1
- 18.8°, I 79.2
- 24.6°, I 28.3
- 27.4°, I 28.8
- 30.4°, I 59.5
- 30.8°, I 100.0
- 35.4°, I 73.9
- 38.9°, I 28.7
- 41.7°, I 80.7
- 69.8°, I 28.2

---

Structure and theoretical powder XRD pattern of Rb2NaCl3 (the PBE geometry in Alexandria; Cu Kα X-rays).

Crystal structure
Unit cell a=10.0647 b=4.5185 c=17.3665 alpha=90.00 beta=90.00 gamma=90.00
Sites, in units of the cell vectors:
Rb 0.1262 0.2500 0.2237
Rb 0.1796 0.2500 0.9377
Rb 0.3204 0.7500 0.4377
Rb 0.3738 0.7500 0.7237
Rb 0.6262 0.2500 0.2763
Rb 0.6796 0.2500 0.5623
Rb 0.8204 0.7500 0.0623
Rb 0.8738 0.7500 0.7763
Na 0.0841 0.2500 0.5915
Na 0.4159 0.7500 0.0915
Na 0.5841 0.2500 0.9085
Na 0.9159 0.7500 0.4085
Cl 0.0741 0.2500 0.4180
Cl 0.1238 0.2500 0.7517
Cl 0.1453 0.7500 0.0740
Cl 0.3547 0.2500 0.5740
Cl 0.3762 0.7500 0.2517
Cl 0.4259 0.7500 0.9180
Cl 0.5741 0.2500 0.0820
Cl 0.6238 0.2500 0.7483
Cl 0.6453 0.7500 0.4260
Cl 0.8547 0.2500 0.9260
Cl 0.8762 0.7500 0.2483
Cl 0.9259 0.7500 0.5820

The 10 most intense peaks (2θ = 5–70°), low angle first:
- 22.3°, I 30.5
- 25.0°, I 55.4
- 26.5°, I 100.0
- 27.1°, I 37.7
- 29.9°, I 39.9
- 30.9°, I 44.8
- 33.7°, I 41.8
- 39.4°, I 34.5
- 39.9°, I 35.2
- 41.2°, I 30.1

---

Structure and theoretical powder XRD pattern of Rb4NaCl4 (the PBE geometry in Alexandria; Cu Kα X-rays).

Crystal structure
Unit cell a=9.3742 b=9.3742 c=8.1984 alpha=90.00 beta=90.00 gamma=90.00
Sites, in units of the cell vectors:
Rb 0.0255 0.2500 0.0958
Rb 0.2500 0.0255 0.5958
Rb 0.2500 0.4745 0.5958
Rb 0.4745 0.2500 0.0958
Rb 0.5255 0.7500 0.9042
Rb 0.7500 0.5255 0.4042
Rb 0.7500 0.9745 0.4042
Rb 0.9745 0.7500 0.9042
Na 0.2500 0.7500 0.2500
Na 0.7500 0.2500 0.7500
Cl 0.0308 0.7500 0.4840
Cl 0.2500 0.5308 0.0160
Cl 0.2500 0.9692 0.0160
Cl 0.4692 0.7500 0.4840
Cl 0.5308 0.2500 0.5160
Cl 0.7500 0.0308 0.9840
Cl 0.7500 0.4692 0.9840
Cl 0.9692 0.2500 0.5160

The 10 most intense peaks (2θ = 5–70°), low angle first:
- 21.7°, I 27.1
- 21.8°, I 30.0
- 23.7°, I 56.2
- 23.8°, I 45.4
- 26.9°, I 100.0
- 30.5°, I 30.6
- 34.8°, I 38.0
- 38.4°, I 40.7
- 41.1°, I 35.5
- 59.8°, I 32.0

---

Structure and theoretical powder XRD pattern of RbNa2SbCl8 (the PBE geometry in Alexandria; Cu Kα X-rays).

Crystal structure
Unit cell a=6.1557 b=7.2042 c=9.5794 alpha=109.26 beta=97.40 gamma=92.11
Sites, in units of the cell vectors:
Rb 0.0000 0.0000 0.0000
Na 0.4486 0.3342 0.8081
Na 0.5514 0.6658 0.1919
Sb 0.0000 0.0000 0.5000
Cl 0.1121 0.7559 0.2785
Cl 0.2498 0.8960 0.6685
Cl 0.2762 0.2460 0.4995
Cl 0.4845 0.2773 0.0708
Cl 0.5155 0.7227 0.9292
Cl 0.7238 0.7540 0.5005
Cl 0.7502 0.1040 0.3315
Cl 0.8879 0.2441 0.7215

The 10 most intense peaks (2θ = 5–70°), low angle first:
- 13.1°, I 100.0
- 13.5°, I 28.9
- 16.4°, I 24.1
- 18.8°, I 54.4
- 19.8°, I 28.6
- 20.4°, I 39.2
- 25.7°, I 26.5
- 29.1°, I 49.2
- 31.3°, I 50.0
- 37.2°, I 25.7

---

Structure and theoretical powder XRD pattern of Rb3NaSc2Cl9 (the PBE geometry in Alexandria; Cu Kα X-rays).

Crystal structure
Unit cell a=7.3791 b=7.3791 c=9.0838 alpha=90.00 beta=90.00 gamma=120.00
Sites, in units of the cell vectors:
Rb 0.0000 0.0000 0.0000
Rb 0.3333 0.6667 0.6503
Rb 0.6667 0.3333 0.3497
Na 0.0000 0.0000 0.5000
Sc 0.3333 0.6667 0.1631
Sc 0.6667 0.3333 0.8369
Cl 0.0000 0.5000 0.0000
Cl 0.1724 0.3448 0.3197
Cl 0.1724 0.8276 0.3197
Cl 0.3448 0.1724 0.6803
Cl 0.5000 0.0000 0.0000
Cl 0.5000 0.5000 0.0000
Cl 0.6552 0.8276 0.3197
Cl 0.8276 0.1724 0.6803
Cl 0.8276 0.6552 0.6803

The 10 most intense peaks (2θ = 5–70°), low angle first:
- 24.1°, I 75.7
- 29.5°, I 22.3
- 29.6°, I 69.9
- 34.3°, I 100.0
- 42.4°, I 25.8
- 49.2°, I 30.7
- 49.4°, I 32.7
- 58.6°, I 24.3
- 61.5°, I 15.8
- 67.1°, I 8.6

---

Structure and theoretical powder XRD pattern of RbNaScCl6 (the PBE geometry in Alexandria; Cu Kα X-rays).

Crystal structure
Unit cell a=7.0406 b=7.0406 c=7.1876 alpha=90.06 beta=90.06 gamma=120.30
Sites, in units of the cell vectors:
Rb 0.0000 0.0000 0.0000
Na 0.3343 0.6657 0.5000
Sc 0.6658 0.3342 0.5000
Cl 0.3773 0.0355 0.3031
Cl 0.3837 0.3457 0.7016
Cl 0.6543 0.6163 0.2984
Cl 0.6585 0.0405 0.6996
Cl 0.9595 0.3415 0.3004
Cl 0.9645 0.6227 0.6969

The 10 most intense peaks (2θ = 5–70°), low angle first:
- 14.5°, I 16.7
- 19.1°, I 100.0
- 28.3°, I 61.2
- 28.8°, I 10.2
- 32.0°, I 12.0
- 35.7°, I 54.0
- 35.8°, I 20.9
- 41.1°, I 18.3
- 44.7°, I 19.9
- 57.6°, I 10.7

---

Structure and theoretical powder XRD pattern of RbNa2SnCl8 (the PBE geometry in Alexandria; Cu Kα X-rays).

Crystal structure
Unit cell a=5.7888 b=6.6247 c=9.3113 alpha=90.04 beta=90.18 gamma=91.95
Sites, in units of the cell vectors:
Rb 0.0000 0.0000 0.0000
Na 0.4988 0.5000 0.7241
Na 0.5012 0.5000 0.2759
Sn 0.0000 0.0000 0.5000
Cl 0.2336 0.8537 0.3068
Cl 0.2358 0.8559 0.6939
Cl 0.2411 0.3173 0.4992
Cl 0.2538 0.4906 0.0000
Cl 0.7462 0.5094 0.0000
Cl 0.7589 0.6827 0.5008
Cl 0.7642 0.1441 0.3061
Cl 0.7664 0.1463 0.6932

The 10 most intense peaks (2θ = 5–70°), low angle first:
- 9.5°, I 47.3
- 13.4°, I 49.2
- 15.3°, I 55.1
- 19.1°, I 42.9
- 20.0°, I 47.3
- 20.7°, I 88.7
- 24.5°, I 72.8
- 27.8°, I 87.3
- 31.6°, I 39.4
- 38.7°, I 100.0

---

Structure and theoretical powder XRD pattern of RbNa2TbCl6 (the PBE geometry in Alexandria; Cu Kα X-rays).

Crystal structure
Unit cell a=7.8474 b=7.8474 c=7.8474 alpha=55.18 beta=55.18 gamma=55.18
Sites, in units of the cell vectors:
Rb 0.0000 0.0000 0.0000
Na 0.2815 0.2815 0.2815
Na 0.7967 0.7967 0.7967
Tb 0.4784 0.4784 0.4784
Cl 0.0844 0.6320 0.4538
Cl 0.2247 0.5518 0.8611
Cl 0.4538 0.0844 0.6320
Cl 0.5518 0.8611 0.2247
Cl 0.6320 0.4538 0.0844
Cl 0.8611 0.2247 0.5518

The 10 most intense peaks (2θ = 5–70°), low angle first:
- 14.8°, I 32.3
- 16.7°, I 100.0
- 22.8°, I 63.7
- 24.5°, I 34.6
- 28.0°, I 44.1
- 29.8°, I 29.5
- 36.7°, I 72.1
- 38.9°, I 30.1
- 42.1°, I 33.3
- 43.1°, I 37.4